Entry 1:
Diffraction record for SmScGa2. The powder diffractogram is calculated, not measured: it uses a PBE-relaxed structure and Cu Kα (weighted mean of Kα1 and Kα2).
Intensities are scaled so that the largest is 100.

Atomic structure:
```
SmScGa2
1.0
4.014 0.000 0.000
0.000 2.129 5.390
0.000 -2.129 5.390
Sm Sc Ga
1 1 2
direct
0.000 0.000 0.000
0.500 0.723 0.723
0.000 0.276 0.276
0.500 0.430 0.430
```

Top 6 peaks for 10 to 80 degrees two-theta, in order of falling intensity:
- 2.819 Å, intensity 100
- 2.266 Å, intensity 66
- 2.746 Å, intensity 33
- 2.237 Å, intensity 28
- 5.390 Å, intensity 26
- 2.129 Å, intensity 25

***

Entry 2:
Diffraction record for Hf2AlGaCo2Ir2. The powder diffractogram is calculated, not measured: it uses a PBE-relaxed structure and Cu Kα (weighted mean of Kα1 and Kα2).
Intensities are scaled so that the largest is 100.

Atomic structure:
```
Hf2AlGaCo2Ir2
1.0
4.390 0.000 0.000
0.000 4.390 0.000
0.000 0.000 6.213
Hf Al Ga Co Ir
2 1 1 2 2
direct
0.000 0.000 0.000
0.500 0.500 0.500
0.000 0.000 0.500
0.500 0.500 0.000
0.000 0.500 0.251
0.500 0.000 0.749
0.000 0.500 0.747
0.500 0.000 0.253
```

Top 6 peaks for 10 to 80 degrees two-theta, in order of falling intensity:
- 2.196 Å, intensity 100
- 3.585 Å, intensity 34
- 1.268 Å, intensity 34
- 1.872 Å, intensity 18
- 1.553 Å, intensity 17
- 1.425 Å, intensity 8

***

Entry 3:
Diffraction record for Hf2Cd3Cu. The powder diffractogram is calculated, not measured: it uses a PBE-relaxed structure and Cu Kα (weighted mean of Kα1 and Kα2).
Intensities are scaled so that the largest is 100.

Atomic structure:
```
Hf2Cd3Cu
1.0
3.398 0.000 0.000
0.000 3.398 0.000
0.000 0.000 9.799
Hf Cd Cu
2 3 1
direct
0.000 0.000 0.000
0.500 0.500 0.464
0.000 0.000 0.647
0.500 0.500 0.172
0.500 0.500 0.813
0.000 0.000 0.319
```

Top 6 peaks for 10 to 80 degrees two-theta, in order of falling intensity:
- 2.355 Å, intensity 100
- 2.403 Å, intensity 58
- 1.378 Å, intensity 35
- 1.699 Å, intensity 20
- 1.351 Å, intensity 13
- 3.210 Å, intensity 11

***

Entry 4:
Diffraction record for Sm2S3. The powder diffractogram is calculated, not measured: it uses a PBE-relaxed structure and Cu Kα (weighted mean of Kα1 and Kα2).
Intensities are scaled so that the largest is 100.

Atomic structure:
```
Sm2S3
1.0
7.417 0.000 0.000
0.000 3.998 0.000
0.000 0.000 15.450
Sm S
8 12
direct
0.142 0.250 0.204
0.234 0.750 0.456
0.266 0.250 0.956
0.358 0.750 0.704
0.642 0.250 0.296
0.734 0.750 0.044
0.766 0.250 0.544
0.858 0.750 0.796
0.008 0.250 0.391
0.125 0.750 0.067
0.148 0.250 0.781
0.352 0.750 0.281
0.375 0.250 0.567
0.492 0.750 0.891
0.508 0.250 0.109
0.625 0.750 0.433
0.648 0.250 0.719
0.852 0.750 0.219
0.875 0.250 0.933
0.992 0.750 0.609
```

Top 6 peaks for 10 to 80 degrees two-theta, in order of falling intensity:
- 3.429 Å, intensity 100
- 2.565 Å, intensity 41
- 3.158 Å, intensity 30
- 2.322 Å, intensity 26
- 3.606 Å, intensity 22
- 3.866 Å, intensity 20

***

Entry 5:
Diffraction record for LaIn4GaIr. The powder diffractogram is calculated, not measured: it uses a PBE-relaxed structure and Cu Kα (weighted mean of Kα1 and Kα2).
Intensities are scaled so that the largest is 100.

Atomic structure:
```
LaIn4GaIr
1.0
4.674 0.000 0.000
0.000 4.674 0.000
0.000 0.000 7.656
La In Ga Ir
1 4 1 1
direct
0.000 0.000 0.000
0.000 0.500 0.303
0.000 0.500 0.697
0.500 0.000 0.303
0.500 0.000 0.697
0.500 0.500 0.000
0.000 0.000 0.500
```

Top 6 peaks for 10 to 80 degrees two-theta, in order of falling intensity:
- 2.502 Å, intensity 100
- 2.337 Å, intensity 53
- 1.379 Å, intensity 30
- 4.674 Å, intensity 26
- 1.652 Å, intensity 18
- 2.962 Å, intensity 17

***

Entry 6:
Diffraction record for Pa2Tl2Te5. The powder diffractogram is calculated, not measured: it uses a PBE-relaxed structure and Cu Kα (weighted mean of Kα1 and Kα2).
Intensities are scaled so that the largest is 100.

Atomic structure:
```
Pa2Tl2Te5
1.0
8.567 -4.209 0.000
8.567 4.209 0.000
0.000 0.000 8.428
Pa Tl Te
4 4 10
direct
0.150 0.850 0.850
0.350 0.650 0.350
0.650 0.350 0.650
0.850 0.150 0.150
0.201 0.201 0.500
0.299 0.299 0.000
0.701 0.701 0.000
0.799 0.799 0.500
0.000 0.000 0.500
0.032 0.732 0.149
0.232 0.532 0.649
0.268 0.968 0.149
0.468 0.768 0.649
0.500 0.500 0.000
0.532 0.232 0.351
0.732 0.032 0.851
0.768 0.468 0.351
0.968 0.268 0.851
```

Top 6 peaks for 10 to 80 degrees two-theta, in order of falling intensity:
- 2.632 Å, intensity 100
- 2.828 Å, intensity 64
- 2.973 Å, intensity 63
- 3.145 Å, intensity 55
- 2.535 Å, intensity 41
- 8.567 Å, intensity 35

***

Entry 7:
Diffraction record for Li4AlTlAu2. The powder diffractogram is calculated, not measured: it uses a PBE-relaxed structure and Cu Kα (weighted mean of Kα1 and Kα2).
Intensities are scaled so that the largest is 100.

Atomic structure:
```
Li4AlTlAu2
1.0
4.471 0.000 0.000
0.000 4.471 0.000
0.000 0.000 6.538
Li Al Tl Au
4 1 1 2
direct
0.000 0.000 0.000
0.000 0.500 0.737
0.500 0.000 0.263
0.500 0.500 0.500
0.000 0.000 0.500
0.500 0.500 0.000
0.000 0.500 0.289
0.500 0.000 0.711
```

Top 6 peaks for 10 to 80 degrees two-theta, in order of falling intensity:
- 3.690 Å, intensity 100
- 2.272 Å, intensity 53
- 1.912 Å, intensity 34
- 2.235 Å, intensity 30
- 2.846 Å, intensity 20
- 1.298 Å, intensity 18

***

Entry 8:
Diffraction record for HoTmGeCl2. The powder diffractogram is calculated, not measured: it uses a PBE-relaxed structure and Cu Kα (weighted mean of Kα1 and Kα2).
Intensities are scaled so that the largest is 100.

Atomic structure:
```
HoTmGeCl2
1.0
4.039 0.000 0.000
-2.019 3.498 0.000
0.000 0.000 9.551
Ho Tm Ge Cl
1 1 1 2
direct
0.000 0.000 0.000
0.333 0.667 0.666
0.667 0.333 0.832
0.000 0.000 0.504
0.333 0.667 0.164
```

Top 6 peaks for 10 to 80 degrees two-theta, in order of falling intensity:
- 2.822 Å, intensity 100
- 1.973 Å, intensity 48
- 3.284 Å, intensity 45
- 2.019 Å, intensity 35
- 2.354 Å, intensity 21
- 1.642 Å, intensity 19

***

Entry 9:
Diffraction record for DyYGa2Fe4. The powder diffractogram is calculated, not measured: it uses a PBE-relaxed structure and Cu Kα (weighted mean of Kα1 and Kα2).
Intensities are scaled so that the largest is 100.

Atomic structure:
```
DyYGa2Fe4
1.0
4.183 0.000 0.000
-2.092 3.623 0.000
0.000 0.000 9.344
Dy Y Ga Fe
1 1 2 4
direct
0.000 0.000 0.000
0.667 0.333 0.500
0.333 0.667 0.250
0.333 0.667 0.750
0.000 0.000 0.290
0.000 0.000 0.710
0.667 0.333 0.207
0.667 0.333 0.793
```

Top 6 peaks for 10 to 80 degrees two-theta, in order of falling intensity:
- 2.092 Å, intensity 100
- 2.362 Å, intensity 95
- 3.378 Å, intensity 54
- 1.558 Å, intensity 51
- 2.863 Å, intensity 39
- 1.253 Å, intensity 38

***

Entry 10:
Diffraction record for KPrPS5. The powder diffractogram is calculated, not measured: it uses a PBE-relaxed structure and Cu Kα (weighted mean of Kα1 and Kα2).
Intensities are scaled so that the largest is 100.

Atomic structure:
```
KPrPS5
1.0
8.975 -4.391 0.000
8.975 4.391 0.000
-0.547 0.000 5.758
K Pr P S
2 2 2 10
direct
0.198 0.198 0.169
0.802 0.802 0.831
0.258 0.742 0.500
0.742 0.258 0.500
0.357 0.357 0.702
0.643 0.643 0.298
0.022 0.022 0.836
0.210 0.596 0.856
0.245 0.245 0.684
0.396 0.396 0.369
0.404 0.790 0.144
0.596 0.210 0.856
0.604 0.604 0.631
0.755 0.755 0.316
0.790 0.404 0.144
0.978 0.978 0.164
```

Top 6 peaks for 10 to 80 degrees two-theta, in order of falling intensity:
- 3.941 Å, intensity 100
- 2.678 Å, intensity 86
- 4.644 Å, intensity 69
- 2.194 Å, intensity 55
- 3.313 Å, intensity 55
- 3.191 Å, intensity 41

***

Entry 11:
Diffraction record for Ba9Sm6Cl34. The powder diffractogram is calculated, not measured: it uses a PBE-relaxed structure and Cu Kα (weighted mean of Kα1 and Kα2).
Intensities are scaled so that the largest is 100.

Atomic structure:
```
Ba9Sm6Cl34
1.0
-5.654 5.654 10.774
5.654 -5.654 10.774
5.654 5.654 -10.774
Ba Sm Cl
9 6 34
direct
0.000 0.000 0.000
0.021 0.841 0.547
0.159 0.706 0.180
0.294 0.474 0.453
0.474 0.021 0.180
0.526 0.979 0.820
0.706 0.526 0.547
0.841 0.294 0.820
0.979 0.159 0.453
0.181 0.606 0.787
0.314 0.314 0.000
0.394 0.181 0.575
0.606 0.819 0.425
0.686 0.686 0.000
0.819 0.394 0.213
0.008 0.706 0.874
0.049 0.152 0.720
0.076 0.576 0.500
0.134 0.008 0.302
0.152 0.432 0.103
0.168 0.866 0.874
0.170 0.449 0.860
0.222 0.359 0.581
0.250 0.750 0.500
0.294 0.168 0.302
0.310 0.170 0.720
0.329 0.049 0.897
0.359 0.778 0.137
0.410 0.690 0.860
0.424 0.924 0.500
0.432 0.329 0.280
0.449 0.590 0.280
0.551 0.410 0.720
0.568 0.671 0.720
0.576 0.076 0.500
0.590 0.310 0.140
0.641 0.222 0.863
0.671 0.951 0.103
0.690 0.830 0.280
0.706 0.832 0.698
0.750 0.250 0.500
0.778 0.641 0.419
0.830 0.551 0.140
0.832 0.134 0.126
0.848 0.568 0.897
0.866 0.992 0.698
0.924 0.424 0.500
0.951 0.848 0.280
0.992 0.294 0.126
```

Top 6 peaks for 10 to 80 degrees two-theta, in order of falling intensity:
- 4.135 Å, intensity 100
- 2.534 Å, intensity 60
- 2.157 Å, intensity 34
- 2.529 Å, intensity 26
- 2.164 Å, intensity 18
- 3.576 Å, intensity 15

***

Entry 12:
Diffraction record for Tm2CBrCl. The powder diffractogram is calculated, not measured: it uses a PBE-relaxed structure and Cu Kα (weighted mean of Kα1 and Kα2).
Intensities are scaled so that the largest is 100.

Atomic structure:
```
Tm2CBrCl
1.0
3.676 0.000 0.000
-1.838 3.183 0.000
0.000 0.000 9.703
Tm C Br Cl
2 1 1 1
direct
0.000 0.000 0.000
0.333 0.667 0.270
0.667 0.333 0.135
0.333 0.667 0.801
0.000 0.000 0.448
```

Top 6 peaks for 10 to 80 degrees two-theta, in order of falling intensity:
- 2.661 Å, intensity 100
- 3.183 Å, intensity 27
- 1.838 Å, intensity 25
- 3.025 Å, intensity 22
- 2.269 Å, intensity 18
- 1.929 Å, intensity 18

***

Entry 13:
Diffraction record for SmDyBi2Se2. The powder diffractogram is calculated, not measured: it uses a PBE-relaxed structure and Cu Kα (weighted mean of Kα1 and Kα2).
Intensities are scaled so that the largest is 100.

Atomic structure:
```
SmDyBi2Se2
1.0
4.292 0.000 0.000
0.000 4.292 0.000
0.000 0.000 9.020
Sm Dy Bi Se
1 1 2 2
direct
0.000 0.000 0.000
0.500 0.500 0.608
0.000 0.500 0.306
0.500 0.000 0.306
0.000 0.000 0.674
0.500 0.500 0.927
```

Top 6 peaks for 10 to 80 degrees two-theta, in order of falling intensity:
- 2.876 Å, intensity 100
- 2.518 Å, intensity 76
- 3.007 Å, intensity 45
- 2.146 Å, intensity 44
- 1.747 Å, intensity 37
- 1.342 Å, intensity 20